Structure and theoretical powder X-ray diffraction pattern of BaZnSe2N (a DFT-relaxed cell (PBE, Alexandria); Cu Kα (λ = 1.5418 Å)).
Kinematic intensities with the Lorentz-polarization factor, no thermal factor.

```
BaZnSe2N
1.0
5.3439 0.0000 0.0000
0.0000 5.3439 0.0000
0.0000 0.0000 4.0994
Ba Zn Se N
1 1 2 1
Cartesian
0.0000 0.0000 0.0000
2.6720 2.6720 2.0497
0.0000 2.6720 2.0497
2.6720 0.0000 2.0497
2.6720 2.6720 0.0000
```

Largest 10 diffraction maxima, by angle, 15° ≤ 2θ ≤ 90°:
| two_theta | Rel. int. |
| --- | --- |
| 27.42 | 85 |
| 32.22 | 86 |
| 33.54 | 100 |
| 43.85 | 48 |
| 44.19 | 23 |
| 48.16 | 35 |
| 56.59 | 43 |
| 59.13 | 29 |
| 67.41 | 25 |
| 80.35 | 15 |


Structure and theoretical powder X-ray diffraction pattern of Ca3Al2Pt6 (a DFT-relaxed cell (PBE, Alexandria); Cu Kα (λ = 1.5418 Å)).
Kinematic intensities with the Lorentz-polarization factor, no thermal factor.

```
Ca3Al2Pt6
1.0
-4.7760 4.7760 4.7760
4.7760 -4.7760 4.7760
4.7760 4.7760 -4.7760
Ca Al Pt
6 4 12
Cartesian
2.9003 0.0000 0.0000
6.6517 0.0000 0.0000
0.0000 2.9003 0.0000
0.0000 0.0000 2.9003
0.0000 6.6517 0.0000
0.0000 0.0000 6.6517
2.3880 2.3880 -2.3880
2.3880 -2.3880 2.3880
-2.3880 2.3880 2.3880
2.3880 2.3880 2.3880
4.7760 1.7196 -1.7196
4.7760 -1.7196 1.7196
1.7196 4.7760 -1.7196
3.0565 3.0565 0.0000
3.0565 0.0000 3.0565
1.7196 -1.7196 4.7760
4.7760 1.7196 1.7196
0.0000 3.0565 3.0565
-1.7196 4.7760 1.7196
-1.7196 1.7196 4.7760
1.7196 4.7760 1.7196
1.7196 1.7196 4.7760
```

Largest 10 diffraction maxima, by angle, 15° ≤ 2θ ≤ 90°:
| two_theta | Rel. int. |
| --- | --- |
| 22.80 | 26 |
| 26.39 | 18 |
| 35.15 | 35 |
| 40.05 | 100 |
| 48.60 | 14 |
| 52.47 | 15 |
| 57.93 | 14 |
| 59.67 | 14 |
| 72.75 | 35 |
| 86.44 | 14 |


Structure and theoretical powder X-ray diffraction pattern of Cs2K4InSb2 (a DFT-relaxed cell (PBE, Alexandria); Cu Kα (λ = 1.5418 Å)).
Kinematic intensities with the Lorentz-polarization factor, no thermal factor.

```
Cs2K4InSb2
1.0
8.4382 -4.4946 0.0000
8.4382 4.4946 0.0000
-2.1522 0.0000 5.6449
Cs K In Sb
2 4 1 2
Cartesian
2.0456 0.0000 0.7887
12.6786 0.0000 4.8563
5.3483 1.8668 2.0462
9.3759 1.8668 3.5988
5.3483 -1.8668 2.0462
9.3759 -1.8668 3.5988
8.4382 0.0000 0.0000
3.4104 0.0000 4.5413
11.3137 0.0000 1.1036
```

Largest 10 diffraction maxima, by angle, 15° ≤ 2θ ≤ 90°:
| two_theta | Rel. int. |
| --- | --- |
| 15.71 | 47 |
| 19.75 | 48 |
| 25.34 | 100 |
| 28.81 | 69 |
| 29.57 | 49 |
| 30.04 | 86 |
| 35.82 | 22 |
| 40.12 | 17 |
| 42.65 | 21 |
| 50.63 | 17 |


Structure and theoretical powder X-ray diffraction pattern of Zr7Mn6 (a DFT-relaxed cell (PBE, Alexandria); Cu Kα (λ = 1.5418 Å)).
Kinematic intensities with the Lorentz-polarization factor, no thermal factor.

```
Zr7Mn6
1.0
2.9509 1.7037 8.6560
-2.9509 1.7037 8.6560
0.0000 -3.4074 8.6560
Zr Mn
7 6
Cartesian
0.0000 0.0000 0.0000
0.0000 -1.6806 6.3048
-1.4555 0.8403 6.3048
-1.4555 -0.8403 19.6631
1.4555 0.8403 6.3048
1.4555 -0.8403 19.6631
0.0000 1.6806 19.6631
0.0000 0.0000 4.3508
0.0000 0.0000 9.1005
0.0000 0.0000 11.7694
0.0000 0.0000 14.1986
0.0000 0.0000 16.8674
0.0000 0.0000 21.6172
```

Largest 10 diffraction maxima, by angle, 15° ≤ 2θ ≤ 90°:
| two_theta | Rel. int. |
| --- | --- |
| 17.69 | 29 |
| 20.52 | 26 |
| 35.29 | 75 |
| 35.81 | 46 |
| 36.87 | 100 |
| 39.29 | 62 |
| 42.16 | 30 |
| 42.98 | 64 |
| 45.16 | 26 |
| 63.00 | 46 |


Structure and theoretical powder X-ray diffraction pattern of Ce3Y2ScSe6 (a DFT-relaxed cell (PBE, Alexandria); Cu Kα (λ = 1.5418 Å)).
Kinematic intensities with the Lorentz-polarization factor, no thermal factor.

```
Ce3Y2ScSe6
1.0
9.0119 -2.0385 0.0000
9.0119 2.0385 0.0000
-2.0904 0.0000 8.0420
Ce Y Sc Se
3 2 1 6
Cartesian
0.0000 0.0000 0.0000
4.5812 0.0000 5.3472
11.3521 0.0000 2.6947
5.6736 0.0000 1.3495
10.2597 0.0000 6.6925
-1.0452 0.0000 4.0210
1.6427 0.0000 4.7173
2.8911 0.0000 0.6212
8.4357 0.0000 2.1517
7.4976 0.0000 5.8902
13.0422 0.0000 7.4207
14.2907 0.0000 3.3247
```

Largest 10 diffraction maxima, by angle, 15° ≤ 2θ ≤ 90°:
| two_theta | Rel. int. |
| --- | --- |
| 30.74 | 100 |
| 43.64 | 37 |
| 44.40 | 36 |
| 53.68 | 6 |
| 54.88 | 6 |
| 55.02 | 12 |
| 64.02 | 11 |
| 72.18 | 10 |
| 73.21 | 10 |
| 81.30 | 8 |


Structure and theoretical powder X-ray diffraction pattern of LaNp4S8 (a DFT-relaxed cell (PBE, Alexandria); Cu Kα (λ = 1.5418 Å)).
Kinematic intensities with the Lorentz-polarization factor, no thermal factor.

```
LaNp4S8
1.0
3.9853 2.3009 6.7426
-3.9853 2.3009 6.7426
0.0000 -4.6018 6.7426
La Np S
1 4 8
Cartesian
0.0000 0.0000 0.0000
-3.9853 0.0000 10.1140
-1.9926 1.1504 3.3713
1.9926 1.1504 3.3713
0.0000 0.0000 10.1140
0.0000 0.0000 4.7481
-2.0262 -1.1698 11.6148
0.0000 -2.3397 8.6131
-2.0262 1.1698 8.6131
2.0262 -1.1698 11.6148
0.0000 2.3397 11.6148
2.0262 1.1698 8.6131
0.0000 0.0000 15.4798
```

Largest 10 diffraction maxima, by angle, 15° ≤ 2θ ≤ 90°:
| two_theta | Rel. int. |
| --- | --- |
| 26.19 | 53 |
| 26.44 | 19 |
| 27.30 | 50 |
| 31.38 | 100 |
| 34.15 | 23 |
| 40.72 | 23 |
| 44.41 | 37 |
| 45.52 | 36 |
| 47.58 | 26 |
| 56.33 | 19 |


Structure and theoretical powder X-ray diffraction pattern of PmNd8Dy6 (a DFT-relaxed cell (PBE, Alexandria); Cu Kα (λ = 1.5418 Å)).
Kinematic intensities with the Lorentz-polarization factor, no thermal factor.

```
PmNd8Dy6
1.0
9.9650 0.0000 0.0000
-4.9825 8.6299 0.0000
0.0000 0.0000 5.9567
Pm Nd Dy
1 8 6
Cartesian
0.0000 0.0000 0.0000
-0.8511 2.3817 1.6357
-2.4944 8.1761 1.6357
1.6370 1.9279 4.3210
0.0000 5.7533 1.6512
4.9825 2.8766 4.3055
3.3454 6.7020 1.6357
7.4768 0.4538 4.3210
5.8335 6.2483 4.3210
-1.4279 4.0719 4.5218
-0.7422 7.8305 4.5218
2.8124 3.2725 1.4349
2.1701 5.3574 4.5218
5.7247 0.7994 1.4349
6.4104 4.5580 1.4349
```

Largest 10 diffraction maxima, by angle, 15° ≤ 2θ ≤ 90°:
| two_theta | Rel. int. |
| --- | --- |
| 27.34 | 21 |
| 30.00 | 22 |
| 31.26 | 100 |
| 41.04 | 21 |
| 48.33 | 19 |
| 54.07 | 18 |
| 57.94 | 16 |
| 58.69 | 14 |
| 79.37 | 8 |
| 82.60 | 7 |


What is the formula in the fifth record? Ce3Y2ScSe6


Which formula does entry 7 have? PmNd8Dy6


What did the sixth record say?
Structure and theoretical powder X-ray diffraction pattern of LaNp4S8 (a DFT-relaxed cell (PBE, Alexandria); Cu Kα (λ = 1.5418 Å)).
Kinematic intensities with the Lorentz-polarization factor, no thermal factor.

```
LaNp4S8
1.0
3.9853 2.3009 6.7426
-3.9853 2.3009 6.7426
0.0000 -4.6018 6.7426
La Np S
1 4 8
Cartesian
0.0000 0.0000 0.0000
-3.9853 0.0000 10.1140
-1.9926 1.1504 3.3713
1.9926 1.1504 3.3713
0.0000 0.0000 10.1140
0.0000 0.0000 4.7481
-2.0262 -1.1698 11.6148
0.0000 -2.3397 8.6131
-2.0262 1.1698 8.6131
2.0262 -1.1698 11.6148
0.0000 2.3397 11.6148
2.0262 1.1698 8.6131
0.0000 0.0000 15.4798
```

Largest 10 diffraction maxima, by angle, 15° ≤ 2θ ≤ 90°:
| two_theta | Rel. int. |
| --- | --- |
| 26.19 | 53 |
| 26.44 | 19 |
| 27.30 | 50 |
| 31.38 | 100 |
| 34.15 | 23 |
| 40.72 | 23 |
| 44.41 | 37 |
| 45.52 | 36 |
| 47.58 | 26 |
| 56.33 | 19 |